Record 1
For BaCoO3, DFT lattice parameters and positions (PBE+U) gives the simulated powder X-ray diffraction pattern in this record (Cu Kα, 1.54184 Å).
Peak positions follow from Bragg's law for the DFT cell and can differ from measured ones.

Top 10 peaks for 10° ≤ 2θ ≤ 90°, in order of rising 2θ:
2θ 25.82, I = 100, (-1 1 1); 2θ 25.93, I = 50, (1 1 1); 2θ 31.10, I = 95, (0 2 0); 2θ 31.19, I = 47, (0 1 3); 2θ 40.75, I = 17, (1 -2 2); 2θ 40.89, I = 65, (1 0 4); 2θ 41.90, I = 25, (2 0 -2); 2θ 42.01, I = 17, (2 1 -1); 2θ 55.33, I = 18, (0 0 6); 2θ 65.00, I = 17, (0 2 6)

Structure:
Cell: 4.7759 5.7433 9.9557 Å, 90.26 90.03 90.35°
Element x y z (fractional)
1 Ba 0.2487 0.4984 0.3333
2 Ba 0.2495 0.9987 0.8327
3 Ba 0.7505 0.0013 0.1673
4 Ba 0.7513 0.5016 0.6667
5 Co 0.0000 0.0000 0.5000
6 Co 0.0000 0.5000 0.0000
7 Co 0.5000 0.0000 0.5000
8 Co 0.5000 0.5000 0.0000
9 O 0.2453 0.2183 0.5729
10 O 0.2474 0.7761 0.5746
11 O 0.2476 0.0004 0.3515
12 O 0.2492 0.2807 0.0735
13 O 0.2497 0.4992 0.8509
14 O 0.2512 0.7202 0.0741
15 O 0.7488 0.2798 0.9259
16 O 0.7503 0.5008 0.1491
17 O 0.7508 0.7193 0.9265
18 O 0.7524 0.9996 0.6485
19 O 0.7526 0.2239 0.4254
20 O 0.7547 0.7817 0.4271



Record 2
For BaCoO3, DFT lattice parameters and positions (PBE+U) gives the simulated powder X-ray diffraction pattern in this record (Cu Kα, 1.54184 Å).
Peak positions follow from Bragg's law for the DFT cell and can differ from measured ones.

Top 10 peaks for 10° ≤ 2θ ≤ 90°, in order of rising 2θ:
2θ 22.33, I = 10, (1 0 0); 2θ 31.78, I = 100, (1 1 0); 2θ 39.19, I = 17, (1 1 1); 2θ 45.57, I = 33, (2 0 0); 2θ 51.31, I = 5, (2 1 0); 2θ 56.62, I = 38, (2 1 1); 2θ 66.41, I = 20, (2 2 0); 2θ 75.51, I = 17, (3 1 0); 2θ 79.91, I = 5, (3 1 1); 2θ 84.25, I = 7, (2 2 2)

Structure:
Cell: 3.9816 3.9816 3.9816 Å, 90.00 90.00 90.00°
Element x y z (fractional)
1 Ba 0.0000 0.0000 0.0000
2 Co 0.5000 0.5000 0.5000
3 O 0.0000 0.5000 0.5000
4 O 0.5000 0.0000 0.5000
5 O 0.5000 0.5000 0.0000